Record 1
ZnHgCl2: theoretical X-ray powder pattern (a wavelength of 1.5418 Å), based on a crystal structure in Alexandria, relaxed with PBE.
Lines closer than 0.1° are merged.

Crystal structure
Cell lengths 10.0256, 10.0256, 6.3062 Å; angles 90.00, 90.00, 90.00 degrees
Atoms (fractional coordinates):
Zn 0.0000 0.5000 0.0000
Zn 0.0000 0.5000 0.5000
Zn 0.5000 0.0000 0.0000
Zn 0.5000 0.0000 0.5000
Hg 0.0000 0.0000 0.2488
Hg 0.0000 0.0000 0.7488
Hg 0.5000 0.5000 0.2488
Hg 0.5000 0.5000 0.7488
Cl 0.1197 0.3803 0.2500
Cl 0.1197 0.6197 0.7500
Cl 0.3803 0.1197 0.7500
Cl 0.3803 0.8803 0.2500
Cl 0.6197 0.1197 0.2500
Cl 0.6197 0.8803 0.7500
Cl 0.8803 0.3803 0.7500
Cl 0.8803 0.6197 0.2500

Principal peaks in the range 2θ from 15° to 90°, by angle:
two_theta, d [Å], I_rel
17.7, 5.013, 100.0
25.1, 3.545, 42.6
28.1, 3.170, 22.8
31.0, 2.881, 36.8
33.6, 2.669, 9.8
40.2, 2.242, 24.2
40.3, 2.236, 61.9
48.1, 1.891, 12.2
55.0, 1.669, 30.6
61.4, 1.510, 11.1
73.2, 1.293, 10.2
78.8, 1.215, 11.8

***

Record 2
Ni8RuRh4: theoretical X-ray powder pattern (a wavelength of 1.5418 Å), based on a crystal structure in Alexandria, relaxed with PBE.
Lines closer than 0.1° are merged.

Crystal structure
Cell lengths 5.7096, 5.7096, 5.7096 Å; angles 90.20, 90.20, 90.20 degrees
Atoms (fractional coordinates):
Ni 0.2411 0.2411 0.7562
Ni 0.2411 0.7562 0.2411
Ni 0.2423 0.2423 0.2423
Ni 0.2438 0.7589 0.7589
Ni 0.7562 0.2411 0.2411
Ni 0.7577 0.7577 0.7577
Ni 0.7589 0.2438 0.7589
Ni 0.7589 0.7589 0.2438
Ru 0.5000 0.5000 0.5000
Rh 0.0000 0.0000 0.0000
Rh 0.0000 0.5000 0.5000
Rh 0.5000 0.0000 0.5000
Rh 0.5000 0.5000 0.0000

Principal peaks in the range 2θ from 15° to 90°, by angle:
two_theta, d [Å], I_rel
15.5, 5.710, 8.5
22.0, 4.037, 13.7
27.0, 3.300, 37.5
27.1, 3.285, 13.4
35.1, 2.553, 12.3
44.8, 2.022, 100.0
45.0, 2.015, 98.7
53.2, 1.723, 17.5
65.4, 1.427, 30.3
82.7, 1.167, 15.2
82.8, 1.166, 30.2
83.1, 1.162, 14.8

***

Record 3
Pm2MgNi4Ge3: theoretical X-ray powder pattern (a wavelength of 1.5418 Å), based on a crystal structure in Alexandria, relaxed with PBE.
Lines closer than 0.1° are merged.

Crystal structure
Cell lengths 4.1440, 4.1440, 9.9440 Å; angles 90.00, 90.00, 90.00 degrees
Atoms (fractional coordinates):
Pm 0.0000 0.5000 0.2394
Pm 0.5000 0.0000 0.7606
Mg 0.0000 0.0000 0.5000
Ni 0.0000 0.0000 0.0000
Ni 0.0000 0.5000 0.6393
Ni 0.5000 0.0000 0.3607
Ni 0.5000 0.5000 0.0000
Ge 0.0000 0.5000 0.8756
Ge 0.5000 0.0000 0.1244
Ge 0.5000 0.5000 0.5000

Principal peaks in the range 2θ from 15° to 90°, by angle:
two_theta, d [Å], I_rel
23.3, 3.825, 9.7
30.5, 2.930, 29.8
34.7, 2.588, 77.3
35.6, 2.524, 100.0
43.7, 2.072, 61.0
50.9, 1.793, 30.7
56.9, 1.618, 36.5
63.5, 1.465, 19.3
64.6, 1.443, 11.1
69.3, 1.356, 23.8
74.4, 1.275, 8.1
74.9, 1.267, 21.6